Theoretical powder X-ray diffraction pattern of Rb2MnO3 for Cu Kα (λ = 1.5418 Å), from a cell relaxed with GGA+U.

Cell and atoms:
Cell lengths 6.7134, 6.7134, 13.4886 Å; angles 90.00, 90.00, 126.92 degrees
Fractional coordinates of all 24 atoms:
Rb  0.0615  0.9385  0.8618
Rb  0.1355  0.8645  0.4218
Rb  0.3645  0.6355  0.9218
Rb  0.4385  0.5615  0.3618
Rb  0.5615  0.4385  0.6382
Rb  0.6355  0.3645  0.0782
Rb  0.8645  0.1355  0.5782
Rb  0.9385  0.0615  0.1382
Mn  0.2404  0.7596  0.6676
Mn  0.2596  0.7404  0.1676
Mn  0.7404  0.2596  0.8324
Mn  0.7596  0.2404  0.3324
O  0.0137  0.4863  0.7500
O  0.0993  0.9007  0.6339
O  0.1676  0.8324  0.0665
O  0.3324  0.6676  0.5665
O  0.4007  0.5993  0.1339
O  0.4863  0.0137  0.2500
O  0.5137  0.9863  0.7500
O  0.5993  0.4007  0.8661
O  0.6676  0.3324  0.4335
O  0.8324  0.1676  0.9335
O  0.9007  0.0993  0.3661
O  0.9863  0.5137  0.2500

The 10 most intense peaks (10° ≤ 2θ ≤ 80°), low angle first:
| Position (°2θ) | I_rel |
| --- | --- |
| 25.85 | 20.9 |
| 26.43 | 31.7 |
| 27.59 | 33.9 |
| 29.78 | 70.1 |
| 29.92 | 100.0 |
| 30.47 | 20.3 |
| 31.33 | 29.4 |
| 36.51 | 27.3 |
| 40.24 | 31.0 |
| 47.81 | 22.2 |